# 1
The following is a simulated XRD peak list of Ac2P4Ir3Rh. It was derived from a PBE-relaxed structure, using Cu Kα (λ = 1.5418 Å).
Kinematic intensities with the Lorentz-polarization factor, no thermal factor.

Atomic structure:
```
data_Ac2P4Ir3Rh
_cell_length_a 4.307
_cell_length_b 4.307
_cell_length_c 9.724
_cell_angle_alpha 90.00
_cell_angle_beta 90.00
_cell_angle_gamma 90.00
_space_group_name_H-M_alt 'P -4 m 2'
_space_group_IT_number 115
loop_
_space_group_symop_operation_xyz
'x,y,z'
'y,-x,-z'
'-x,-y,z'
'-y,x,-z'
'-x,y,z'
'-y,-x,-z'
'x,-y,z'
'y,x,-z'
loop_
_atom_site_label
_atom_site_type_symbol
_atom_site_fract_x
_atom_site_fract_y
_atom_site_fract_z
Ac1 Ac 0.000 0.500 0.242
P1 P 0.000 0.000 0.000
P2 P 0.000 0.500 0.636
P3 P 0.500 0.500 0.000
Ir1 Ir 0.000 0.500 0.892
Ir2 Ir 0.500 0.500 0.500
Rh1 Rh 0.000 0.000 0.500
```

Top 6 peaks for 5 to 70 degrees two-theta, sorted by position:
h k l	2θ (°)	Rel. int.
1 1 0	29.33	32
1 1 1	30.77	53
1 0 3	34.64	100
1 1 2	34.76	79
2 0 0	41.96	69
2 1 3	55.50	53


# 2
The following is a simulated XRD peak list of Ac2PIrRu. It was derived from a PBE-relaxed structure, using Cu Kα (λ = 1.5418 Å).
Kinematic intensities with the Lorentz-polarization factor, no thermal factor.

Atomic structure:
```
data_Ac2PIrRu
_cell_length_a 4.183
_cell_length_b 4.183
_cell_length_c 14.509
_cell_angle_alpha 90.00
_cell_angle_beta 90.00
_cell_angle_gamma 90.00
_space_group_name_H-M_alt 'P 4/n m m'
_space_group_IT_number 129
loop_
_space_group_symop_operation_xyz
'x,y,z'
'-x,-y,-z'
'-y+1/2,x,z'
'y+1/2,-x,-z'
'-x+1/2,-y+1/2,z'
'x+1/2,y+1/2,-z'
'y,-x+1/2,z'
'-y,x+1/2,-z'
'x+1/2,-y,-z'
'-x+1/2,y,z'
'-y,-x,-z'
'y,x,z'
'-x,y+1/2,-z'
'x,-y+1/2,z'
'y+1/2,x+1/2,-z'
'-y+1/2,-x+1/2,z'
loop_
_atom_site_label
_atom_site_type_symbol
_atom_site_fract_x
_atom_site_fract_y
_atom_site_fract_z
Ac1 Ac 0.250 0.250 0.098
Ac2 Ac 0.250 0.250 0.678
P1 P 0.250 0.250 0.418
Ir1 Ir 0.250 0.250 0.882
Ru1 Ru 0.250 0.750 0.500
```

Top 6 peaks for 5 to 70 degrees two-theta, sorted by position:
h k l	2θ (°)	Rel. int.
0 0 4	24.55	49
1 1 0	30.22	87
0 0 5	30.83	100
1 1 4	39.31	77
2 0 0	43.26	67
2 0 5	54.05	46